1.
Calculated powder diffractogram of Cu2HgTe2F2 for Cu Kα (weighted mean of Kα1 and Kα2), from the PBE geometry in OQMD.
Kinematic intensities with the Lorentz-polarization factor, no thermal factor.

Most intense lines, 10° ≤ 2θ ≤ 90°, sorted by position:
2theta	d_spacing	I_rel
24.73	3.600	29
26.36	3.381	77
30.77	2.905	65
36.48	2.463	44
37.08	2.425	77
39.87	2.261	100
50.72	1.800	40
64.47	1.445	30

```
7
Lattice="3.600 0.000 0.000 0.000 3.600 0.000 0.000 0.000 9.842" Properties=species:S:1:pos:R:3 pbc="T T T"
Cu 0.000 1.800 1.257
Cu 1.800 0.000 8.585
Hg 1.800 1.800 4.921
Te 0.000 1.800 7.219
Te 1.800 0.000 2.623
F 0.000 0.000 0.000
F 1.800 1.800 0.000
```

***

2.
Calculated powder diffractogram of CuHg2Te2F2 for Cu Kα (weighted mean of Kα1 and Kα2), from the PBE geometry in OQMD.
Kinematic intensities with the Lorentz-polarization factor, no thermal factor.

Most intense lines, 10° ≤ 2θ ≤ 90°, sorted by position:
2theta	d_spacing	I_rel
29.82	2.996	100
32.41	2.763	38
37.84	2.377	33
45.26	2.004	32
46.49	1.954	27
51.24	1.783	12
56.21	1.636	34
66.89	1.399	20

```
7
Lattice="3.907 0.000 0.000 0.000 3.907 0.000 0.000 0.000 9.335" Properties=species:S:1:pos:R:3 pbc="T T T"
Cu 0.000 0.000 0.000
Hg 0.000 1.954 6.161
Hg 1.954 0.000 3.174
Te 0.000 1.954 1.687
Te 1.954 0.000 7.648
F 0.000 0.000 4.668
F 1.954 1.954 4.668
```

***

3.
Calculated powder diffractogram of KCu2F6 for Cu Kα (weighted mean of Kα1 and Kα2), from the PBE geometry in OQMD.
Kinematic intensities with the Lorentz-polarization factor, no thermal factor.

Most intense lines, 10° ≤ 2θ ≤ 90°, sorted by position:
2theta	d_spacing	I_rel
17.20	5.157	57
26.18	3.404	100
34.27	2.617	28
38.58	2.333	38
43.63	2.075	17
49.64	1.837	61
56.62	1.626	21
61.37	1.511	19

```
9
Lattice="5.233 0.000 0.000 -2.617 4.532 0.000 0.000 0.000 5.157" Properties=species:S:1:pos:R:3 pbc="T T T"
K 0.000 0.000 0.000
Cu 0.000 3.021 2.578
Cu 2.617 1.511 2.578
F -1.003 1.738 3.638
F -1.613 2.795 1.519
F 2.007 0.000 3.638
F 1.003 1.738 1.519
F 3.227 0.000 1.519
F 1.613 2.795 3.638
```

***

4.
Calculated powder diffractogram of K2LiCuF6 for Cu Kα (weighted mean of Kα1 and Kα2), from the PBE geometry in OQMD.
Kinematic intensities with the Lorentz-polarization factor, no thermal factor.

Most intense lines, 10° ≤ 2θ ≤ 90°, sorted by position:
2theta	d_spacing	I_rel
19.78	4.488	77
32.58	2.749	100
38.40	2.344	38
40.18	2.244	40
46.74	1.944	91
58.13	1.587	35
68.24	1.374	47
77.68	1.229	15

```
10
Lattice="-2.748 2.748 3.888 2.748 -2.748 3.888 2.748 2.748 -3.888" Properties=species:S:1:pos:R:3 pbc="T T T"
K 2.748 0.000 1.944
K 0.000 2.748 1.944
Li 0.000 0.000 0.000
Cu 0.000 0.000 3.888
F 4.093 1.383 0.000
F 0.000 0.000 1.974
F 1.383 1.404 0.000
F 1.366 1.344 3.888
F 0.000 0.000 5.803
F -1.344 1.366 3.888
```

***

5.
Calculated powder diffractogram of KLiCuF4 for Cu Kα (weighted mean of Kα1 and Kα2), from the PBE geometry in OQMD.
Kinematic intensities with the Lorentz-polarization factor, no thermal factor.

Most intense lines, 10° ≤ 2θ ≤ 90°, sorted by position:
2theta	d_spacing	I_rel
20.76	4.279	31
22.67	3.923	100
29.06	3.072	55
35.22	2.548	52
42.26	2.138	55
46.29	1.962	25
56.15	1.638	37
78.98	1.212	22

```
14
Lattice="5.097 0.000 0.000 -2.548 4.414 0.000 0.000 0.000 8.558" Properties=species:S:1:pos:R:3 pbc="T T T"
K 0.000 0.000 0.000
K 0.000 0.000 4.279
Li 0.000 2.943 2.550
Li 2.548 1.471 6.829
Cu 0.000 2.943 6.206
Cu 2.548 1.471 1.927
F -1.698 3.134 2.137
F 0.683 1.377 2.137
F 1.534 0.097 6.416
F 0.000 2.943 4.305
F 2.548 1.471 0.026
F 1.015 4.317 2.137
F 1.866 3.038 6.416
F 4.246 1.280 6.416
```

***

6.
Calculated powder diffractogram of KZrCuF7 for Cu Kα (weighted mean of Kα1 and Kα2), from the PBE geometry in OQMD.
Kinematic intensities with the Lorentz-polarization factor, no thermal factor.

Most intense lines, 10° ≤ 2θ ≤ 90°, sorted by position:
2theta	d_spacing	I_rel
17.81	4.980	52
21.98	4.044	100
27.68	3.223	73
28.25	3.159	89
28.43	3.139	57
30.41	2.939	85
44.82	2.022	51
55.13	1.666	43

```
40
Lattice="4.044 -6.318 0.000 4.044 6.318 0.000 0.000 0.000 9.961" Properties=species:S:1:pos:R:3 pbc="T T T"
K 1.899 1.248 2.490
K 1.899 -1.248 7.471
K 6.189 1.248 2.490
K 6.189 -1.248 7.471
Zr 4.044 1.708 5.655
Zr 4.044 1.708 9.286
Zr 4.044 -1.708 0.675
Zr 4.044 -1.708 4.306
Cu 4.044 4.636 0.725
Cu 4.044 4.636 4.256
Cu 4.044 -4.636 5.705
Cu 4.044 -4.636 9.236
F 0.000 0.000 0.000
F 0.000 0.000 4.980
F 4.044 5.416 2.490
F 2.101 1.600 5.089
F 2.101 1.600 9.852
F 4.044 3.733 6.131
F 4.044 3.733 8.811
F 2.845 1.709 7.471
F 4.044 2.793 1.195
F 4.044 2.793 3.785
F 2.101 -1.600 0.109
F 2.101 -1.600 4.872
F 4.044 0.334 1.149
F 4.044 0.334 3.831
F 2.845 -1.709 2.490
F 5.243 1.709 7.471
F 4.044 -0.334 6.129
F 4.044 -0.334 8.812
F 5.988 1.600 5.089
F 5.988 1.600 9.852
F 4.044 -2.793 6.176
F 4.044 -2.793 8.765
F 5.243 -1.709 2.490
F 4.044 -3.733 1.150
F 4.044 -3.733 3.830
F 5.988 -1.600 0.109
F 5.988 -1.600 4.872
F 4.044 -5.416 7.471
```

***

7.
Calculated powder diffractogram of NaCu3F7 for Cu Kα (weighted mean of Kα1 and Kα2), from the PBE geometry in OQMD.
Kinematic intensities with the Lorentz-polarization factor, no thermal factor.

Most intense lines, 10° ≤ 2θ ≤ 90°, sorted by position:
2theta	d_spacing	I_rel
15.12	5.859	18
30.50	2.931	100
32.12	2.787	18
35.19	2.550	14
36.17	2.484	17
50.25	1.816	18
52.44	1.745	22
61.56	1.506	17

```
22
Lattice="6.007 -3.578 0.000 6.007 3.578 0.000 -3.650 0.000 5.867" Properties=species:S:1:pos:R:3 pbc="T T T"
Na 0.000 0.000 0.000
Na -1.825 0.000 2.934
Cu 3.003 1.789 0.000
Cu 1.178 1.789 2.934
Cu 3.003 -1.789 0.000
Cu 1.178 -1.789 2.934
Cu 6.007 0.000 0.000
Cu 4.182 0.000 2.934
F 2.771 1.428 1.904
F 0.445 0.175 2.316
F -1.380 -0.175 5.249
F 4.882 1.504 0.029
F 5.306 1.504 2.904
F 3.269 0.803 4.401
F 7.417 1.428 1.030
F 0.946 -1.428 4.837
F 5.094 -0.803 1.467
F 3.057 -1.504 2.963
F 3.482 -1.504 5.838
F 9.744 0.175 0.618
F 7.919 -0.175 3.552
F 5.592 -1.428 3.964
```